Entry 1:
Diffraction record for Ag6GeS4Cl2. The powder XRD pattern is simulated, not measured: it uses a structure optimized by DFT (PBE) and a wavelength of 1.5418 Å.
No peak broadening, texture or thermal motion is included.

Peak list (8 most intense, 5 to 70 degrees two-theta, by angle)
| d/Å | I/Imax |
| --- | --- |
| 3.243 | 239 |
| 3.212 | 272 |
| 3.187 | 225 |
| 3.047 | 339 |
| 2.956 | 1000 |
| 2.344 | 219 |
| 2.282 | 215 |
| 2.189 | 126 |

Structure:
a b c (Å): 6.485 7.710 23.249
angles (deg): 90.00 90.00 90.00
Element x y z (fractional)
Ag  0.000  0.000  0.000
Ag  0.000  0.500  0.000
Ag  0.009  0.058  0.430
Ag  0.009  0.442  0.430
Ag  0.060  0.750  0.145
Ag  0.098  0.039  0.281
Ag  0.098  0.461  0.281
Ag  0.402  0.539  0.781
Ag  0.402  0.961  0.781
Ag  0.440  0.250  0.645
Ag  0.491  0.558  0.930
Ag  0.491  0.942  0.930
Ag  0.500  0.000  0.500
Ag  0.500  0.500  0.500
Ag  0.509  0.058  0.070
Ag  0.509  0.442  0.070
Ag  0.560  0.750  0.355
Ag  0.598  0.039  0.219
Ag  0.598  0.461  0.219
Ag  0.902  0.539  0.719
Ag  0.902  0.961  0.719
Ag  0.940  0.250  0.855
Ag  0.991  0.558  0.570
Ag  0.991  0.942  0.570
Ge  0.012  0.250  0.131
Ge  0.488  0.750  0.631
Ge  0.512  0.250  0.369
Ge  0.988  0.750  0.869
S  0.178  0.506  0.873
S  0.178  0.994  0.873
S  0.196  0.250  0.046
S  0.227  0.250  0.206
S  0.273  0.750  0.706
S  0.304  0.750  0.546
S  0.322  0.006  0.373
S  0.322  0.494  0.373
S  0.678  0.506  0.627
S  0.678  0.994  0.627
S  0.696  0.250  0.454
S  0.727  0.250  0.294
S  0.773  0.750  0.794
S  0.804  0.750  0.954
S  0.822  0.006  0.127
S  0.822  0.494  0.127
Cl  0.125  0.250  0.711
Cl  0.169  0.250  0.543
Cl  0.331  0.750  0.043
Cl  0.375  0.750  0.211
Cl  0.625  0.250  0.789
Cl  0.669  0.250  0.957
Cl  0.831  0.750  0.457
Cl  0.875  0.750  0.289

Entry 2:
Diffraction record for CeSe2. The powder XRD pattern is simulated, not measured: it uses a structure optimized by DFT (PBE) and a wavelength of 1.5418 Å.
No peak broadening, texture or thermal motion is included.

Peak list (8 most intense, 5 to 70 degrees two-theta, by angle)
| d/Å | I/Imax |
| --- | --- |
| 3.751 | 379 |
| 2.976 | 337 |
| 2.800 | 648 |
| 2.756 | 267 |
| 2.415 | 1000 |
| 2.306 | 516 |
| 2.104 | 577 |
| 1.554 | 299 |

Structure:
a b c (Å): 4.209 4.209 8.268
angles (deg): 90.00 90.00 90.00
Element x y z (fractional)
Ce  0.250  0.250  0.232
Ce  0.750  0.750  0.768
Se  0.250  0.250  0.864
Se  0.250  0.750  0.500
Se  0.750  0.250  0.500
Se  0.750  0.750  0.136

Entry 3:
Diffraction record for U3Ni3Bi4. The powder XRD pattern is simulated, not measured: it uses a structure optimized by DFT (PBE) and a wavelength of 1.5418 Å.
No peak broadening, texture or thermal motion is included.

Peak list (8 most intense, 5 to 70 degrees two-theta, by angle)
| d/Å | I/Imax |
| --- | --- |
| 3.042 | 682 |
| 2.571 | 1000 |
| 2.151 | 261 |
| 1.964 | 191 |
| 1.887 | 114 |
| 1.561 | 225 |
| 1.521 | 132 |
| 1.485 | 132 |

Structure:
a b c (Å): 8.332 8.332 8.332
angles (deg): 109.47 109.47 109.47
Element x y z (fractional)
U  0.125  0.875  0.250
U  0.250  0.125  0.875
U  0.375  0.625  0.750
U  0.625  0.750  0.375
U  0.750  0.375  0.625
U  0.875  0.250  0.125
Ni  0.125  0.750  0.875
Ni  0.250  0.625  0.375
Ni  0.375  0.250  0.625
Ni  0.625  0.375  0.250
Ni  0.750  0.875  0.125
Ni  0.875  0.125  0.750
Bi  0.000  0.166  0.500
Bi  0.000  0.666  0.500
Bi  0.166  0.500  0.000
Bi  0.334  0.334  0.334
Bi  0.500  0.000  0.166
Bi  0.500  0.000  0.666
Bi  0.666  0.500  0.000
Bi  0.834  0.834  0.834

Entry 4:
Diffraction record for TbSe. The powder XRD pattern is simulated, not measured: it uses a structure optimized by DFT (PBE) and a wavelength of 1.5418 Å.
No peak broadening, texture or thermal motion is included.

Peak list (8 most intense, 5 to 70 degrees two-theta, by angle)
| d/Å | I/Imax |
| --- | --- |
| 3.989 | 1000 |
| 3.632 | 641 |
| 3.496 | 936 |
| 2.686 | 434 |
| 2.303 | 924 |
| 2.070 | 815 |
| 1.945 | 678 |
| 1.539 | 317 |

Structure:
a b c (Å): 4.606 4.606 7.265
angles (deg): 90.00 90.00 120.00
Element x y z (fractional)
Tb  0.333  0.667  0.000
Tb  0.667  0.333  0.500
Se  0.333  0.667  0.385
Se  0.667  0.333  0.885

Entry 5:
Diffraction record for NbCr2. The powder XRD pattern is simulated, not measured: it uses a structure optimized by DFT (PBE) and a wavelength of 1.5418 Å.
No peak broadening, texture or thermal motion is included.

Peak list (8 most intense, 5 to 70 degrees two-theta, by angle)
| d/Å | I/Imax |
| --- | --- |
| 2.448 | 490 |
| 2.278 | 860 |
| 2.120 | 130 |
| 2.095 | 1000 |
| 2.051 | 621 |
| 2.026 | 122 |
| 1.413 | 83 |
| 1.378 | 301 |

Structure:
a b c (Å): 4.895 4.895 8.105
angles (deg): 90.00 90.00 120.00
Element x y z (fractional)
Nb  0.333  0.667  0.061
Nb  0.333  0.667  0.439
Nb  0.667  0.333  0.561
Nb  0.667  0.333  0.939
Cr  0.000  0.000  0.000
Cr  0.000  0.000  0.500
Cr  0.170  0.340  0.750
Cr  0.170  0.830  0.750
Cr  0.340  0.170  0.250
Cr  0.660  0.830  0.750
Cr  0.830  0.170  0.250
Cr  0.830  0.660  0.250

Entry 6:
Diffraction record for Zr2InAu2. The powder XRD pattern is simulated, not measured: it uses a structure optimized by DFT (PBE) and a wavelength of 1.5418 Å.
No peak broadening, texture or thermal motion is included.

Peak list (8 most intense, 5 to 70 degrees two-theta, by angle)
| d/Å | I/Imax |
| --- | --- |
| 5.407 | 162 |
| 3.560 | 164 |
| 3.420 | 214 |
| 2.605 | 163 |
| 2.466 | 1000 |
| 2.418 | 563 |
| 2.121 | 153 |
| 2.000 | 182 |

Structure:
a b c (Å): 7.647 7.647 7.120
angles (deg): 90.00 90.00 90.00
Element x y z (fractional)
Zr  0.146  0.146  0.000
Zr  0.196  0.196  0.500
Zr  0.304  0.696  0.000
Zr  0.354  0.646  0.500
Zr  0.646  0.354  0.500
Zr  0.696  0.304  0.000
Zr  0.804  0.804  0.500
Zr  0.854  0.854  0.000
In  0.000  0.500  0.250
In  0.000  0.500  0.750
In  0.500  0.000  0.250
In  0.500  0.000  0.750
Au  0.129  0.871  0.295
Au  0.129  0.871  0.705
Au  0.371  0.371  0.205
Au  0.371  0.371  0.795
Au  0.629  0.629  0.205
Au  0.629  0.629  0.795
Au  0.871  0.129  0.295
Au  0.871  0.129  0.705

Entry 7:
Diffraction record for BaLaI5. The powder XRD pattern is simulated, not measured: it uses a structure optimized by DFT (PBE) and a wavelength of 1.5418 Å.
No peak broadening, texture or thermal motion is included.

Peak list (8 most intense, 5 to 70 degrees two-theta, by angle)
| d/Å | I/Imax |
| --- | --- |
| 7.343 | 405 |
| 5.727 | 729 |
| 5.356 | 647 |
| 3.575 | 366 |
| 3.259 | 1000 |
| 3.029 | 543 |
| 2.847 | 445 |
| 2.840 | 338 |

Structure:
a b c (Å): 8.806 15.852 12.117
angles (deg): 90.00 109.80 90.00
Element x y z (fractional)
Ba  0.036  0.025  0.259
Ba  0.036  0.475  0.759
Ba  0.964  0.525  0.241
Ba  0.964  0.975  0.741
La  0.393  0.247  0.600
La  0.393  0.253  0.100
La  0.607  0.747  0.900
La  0.607  0.753  0.400
I  0.098  0.114  0.555
I  0.098  0.386  0.055
I  0.130  0.106  0.001
I  0.130  0.394  0.501
I  0.321  0.631  0.362
I  0.321  0.869  0.862
I  0.339  0.193  0.335
I  0.339  0.307  0.835
I  0.377  0.595  0.806
I  0.377  0.905  0.306
I  0.623  0.095  0.694
I  0.623  0.405  0.194
I  0.661  0.693  0.165
I  0.661  0.807  0.665
I  0.679  0.131  0.138
I  0.679  0.369  0.638
I  0.870  0.606  0.499
I  0.870  0.894  0.999
I  0.902  0.614  0.945
I  0.902  0.886  0.445

Entry 8:
Diffraction record for TaZn3. The powder XRD pattern is simulated, not measured: it uses a structure optimized by DFT (PBE) and a wavelength of 1.5418 Å.
No peak broadening, texture or thermal motion is included.

Peak list (7 most intense, 5 to 70 degrees two-theta, by angle)
| d/Å | I/Imax |
| --- | --- |
| 3.937 | 232 |
| 2.784 | 193 |
| 2.273 | 1000 |
| 1.968 | 485 |
| 1.760 | 106 |
| 1.607 | 80 |
| 1.392 | 303 |

Structure:
a b c (Å): 3.937 3.937 3.937
angles (deg): 90.00 90.00 90.00
Element x y z (fractional)
Ta  0.000  0.000  0.000
Zn  0.000  0.500  0.500
Zn  0.500  0.000  0.500
Zn  0.500  0.500  0.000

Entry 9:
Diffraction record for Eu3Cr. The powder XRD pattern is simulated, not measured: it uses a structure optimized by DFT (PBE) and a wavelength of 1.5418 Å.
No peak broadening, texture or thermal motion is included.

Peak list (8 most intense, 5 to 70 degrees two-theta, by angle)
| d/Å | I/Imax |
| --- | --- |
| 5.206 | 98 |
| 3.681 | 89 |
| 3.006 | 1000 |
| 2.603 | 508 |
| 2.328 | 56 |
| 1.841 | 359 |
| 1.570 | 425 |
| 1.503 | 123 |

Structure:
a b c (Å): 5.206 5.206 5.206
angles (deg): 90.00 90.00 90.00
Element x y z (fractional)
Eu  0.000  0.000  0.500
Eu  0.000  0.500  0.000
Eu  0.500  0.000  0.000
Cr  0.500  0.500  0.500